(1)
# Li6Ag5P
Simulated powder X-ray diffraction pattern, a wavelength of 1.5418 Å. Input: a DFT-relaxed cell (PBE, Alexandria).

Cell and atoms:
a = 4.2295 Å, b = 6.8516 Å, c = 6.7287 Å
α = 90.00°, β = 108.07°, γ = 90.00°
Space group P2/m (No. 10)
Asymmetric unit:
Li (0.0000, 0.2308, 0.0000) x2
Li (0.3438, 0.2375, 0.6885) x4
Ag (0.1702, 0.0000, 0.3413) x2
Ag (0.1696, 0.5000, 0.3396) x2
Ag (0.5000, 0.5000, 0.0000) x1
P (0.5000, 0.0000, 0.0000) x1

Most intense lines, 10° ≤ 2θ ≤ 90°, low angle first:
2theta  d [Å]  I_rel
26.01  3.426  100
29.68  3.010  71
29.82  2.997  70
39.87  2.261  77
39.97  2.255  76
42.39  2.132  32
42.76  2.115  31
50.41  1.810  30
50.73  1.799  30
62.41  1.488  31



(2)
# Li3Ag2P3
Simulated powder X-ray diffraction pattern, a wavelength of 1.5418 Å. Input: a DFT-relaxed cell (PBE, Alexandria).

Cell and atoms:
a = 5.6723 Å, b = 5.6723 Å, c = 7.5674 Å
α = 90.00°, β = 90.00°, γ = 90.00°
Space group P4_2/nnm (No. 134, origin choice 2)
Asymmetric unit:
Li (0.0000, 0.0000, 0.0000) x4
Li (0.2500, 0.7500, 0.2500) x2
Ag (0.0000, 0.0000, 0.5000) x4
P (0.2500, 0.2500, 0.2500) x4
P (0.2500, 0.7500, 0.7500) x2

Most intense lines, 10° ≤ 2θ ≤ 90°, low angle first:
2theta  d [Å]  I_rel
23.51  3.784  11
25.13  3.544  100
31.55  2.836  11
39.72  2.269  70
42.33  2.135  24
45.21  2.005  24
52.42  1.745  25
63.66  1.462  14
68.14  1.376  13
79.74  1.203  17



(3)
# Li3Ag2P3
Simulated powder X-ray diffraction pattern, a wavelength of 1.5418 Å. Input: a DFT-relaxed cell (PBE, Alexandria).

Cell and atoms:
a = 5.6325 Å, b = 5.6325 Å, c = 7.6033 Å
α = 90.00°, β = 90.00°, γ = 90.00°
Space group P4_2/nnm (No. 134, origin choice 2)
Asymmetric unit:
Li (0.2500, 0.2500, 0.2500) x4
Li (0.2500, 0.7500, 0.2500) x2
Ag (0.0000, 0.0000, 0.0000) x4
P (0.0000, 0.0000, 0.5000) x4
P (0.2500, 0.7500, 0.7500) x2

Most intense lines, 10° ≤ 2θ ≤ 90°, low angle first:
2theta  d [Å]  I_rel
23.40  3.802  55
25.24  3.528  81
31.77  2.816  50
39.84  2.263  100
42.27  2.138  21
45.55  1.991  33
51.83  1.764  23
52.79  1.734  21
68.20  1.375  19
80.30  1.196  24